(1)
Structure and simulated powder diffractogram of Sr5As3O13 (a structure optimized by DFT (PBE); Cu Ka).
Peak positions follow from Bragg's law for the DFT cell and can differ from measured ones.

Lattice parameters (Å, degrees): 10.2215 10.2215 7.4850 90.00 90.00 120.00
Space group P6_3 (No. 173)
One atom of each set of equivalent atoms:
Sr1 0.0058 0.2520 0.0000 (multiplicity 6)
Sr2 0.3333 0.6667 0.2470 (multiplicity 2)
Sr3 0.3333 0.6667 0.7486 (multiplicity 2)
As1 0.0309 0.3996 0.4993 (multiplicity 6)
O1 0.0000 0.0000 0.0259 (multiplicity 2)
O2 0.0908 0.3413 0.3162 (multiplicity 6)
O3 0.0933 0.3468 0.6844 (multiplicity 6)
O4 0.1265 0.5942 0.4964 (multiplicity 6)
O5 0.1621 0.6761 0.9990 (multiplicity 6)

Top 12 peaks for 2θ = 10–90°, low angle first:
- (0 0 2), 23.8°, intensity 27
- (2 1 0), 26.6°, intensity 21
- (2 1 1), 29.2°, intensity 100
- (1 1 2), 29.6°, intensity 65
- (3 0 0), 30.3°, intensity 55
- (2 2 2), 42.9°, intensity 30
- (2 1 3), 45.3°, intensity 34
- (2 3 1), 46.3°, intensity 18
- (4 0 2), 47.7°, intensity 14
- (0 0 4), 48.7°, intensity 17
- (5 0 2), 57.6°, intensity 13
- (3 0 4), 58.4°, intensity 14

---

(2)
Structure and simulated powder diffractogram of Te2Mo3WSe6 (a structure optimized by DFT (PBE); Cu Ka).
Peak positions follow from Bragg's law for the DFT cell and can differ from measured ones.

Lattice parameters (Å, degrees): 3.3831 3.3831 38.4565 90.00 90.00 120.00
Space group P3m1 (No. 156)
One atom of each set of equivalent atoms:
Te1 0.0000 0.0000 0.0000 (multiplicity 1)
Te2 0.0000 0.0000 0.0977 (multiplicity 1)
Mo1 0.0000 0.0000 0.2367 (multiplicity 1)
Mo2 0.0000 0.0000 0.8609 (multiplicity 1)
Mo3 0.3333 0.6667 0.0488 (multiplicity 1)
W1 0.3333 0.6667 0.4246 (multiplicity 1)
Se1 0.0000 0.0000 0.3814 (multiplicity 1)
Se2 0.0000 0.0000 0.4678 (multiplicity 1)
Se3 0.3333 0.6667 0.1937 (multiplicity 1)
Se4 0.3333 0.6667 0.2797 (multiplicity 1)
Se5 0.3333 0.6667 0.8179 (multiplicity 1)
Se6 0.3333 0.6667 0.9040 (multiplicity 1)

Top 12 peaks for 2θ = 10–90°, low angle first:
- (0 0 5), 11.5°, intensity 100
- (0 0 6), 13.8°, intensity 12
- (1 0 0), 30.5°, intensity 48
- (1 0 5), 32.7°, intensity 15
- (1 0 8), 35.9°, intensity 90
- (1 0 9), 37.2°, intensity 11
- (0 1 13), 43.5°, intensity 59
- (1 0 14), 45.3°, intensity 18
- (1 1 0), 54.2°, intensity 35
- (0 2 8), 66.8°, intensity 14
- (2 0 13), 71.9°, intensity 13
- (1 1 21), 76.7°, intensity 16

---

(3)
Structure and simulated powder diffractogram of LiFeAs (a structure optimized by DFT (PBE); Cu Ka).
Peak positions follow from Bragg's law for the DFT cell and can differ from measured ones.

Lattice parameters (Å, degrees): 4.0709 4.0709 10.3654 90.00 90.00 120.00
Space group P-3m1 (No. 164)
One atom of each set of equivalent atoms:
Li1 0.0000 0.0000 0.2479 (multiplicity 2)
Li2 0.3333 0.6667 0.1420 (multiplicity 2)
Fe1 0.0000 0.0000 0.0000 (multiplicity 1)
Fe2 0.0000 0.0000 0.5000 (multiplicity 1)
Fe3 0.3333 0.6667 0.6318 (multiplicity 2)
As1 0.3333 0.6667 0.3930 (multiplicity 2)
As2 0.3333 0.6667 0.8852 (multiplicity 2)

Top 12 peaks for 2θ = 10–90°, low angle first:
- (0 0 2), 17.1°, intensity 29
- (1 0 0), 25.3°, intensity 12
- (1 0 1), 26.7°, intensity 18
- (1 0 2), 30.7°, intensity 55
- (0 0 4), 34.6°, intensity 18
- (1 0 4), 43.3°, intensity 85
- (1 1 0), 44.5°, intensity 100
- (1 1 4), 57.6°, intensity 24
- (0 2 4), 63.9°, intensity 25
- (2 1 4), 81.2°, intensity 25
- (3 0 0), 82.0°, intensity 16
- (1 1 8), 89.7°, intensity 18